Entry 1:
Computed powder XRD pattern
Compound: Tb3YSc3Se8
Radiation: a wavelength of 1.5418 Å
Structure: the PBE geometry in Alexandria
Neutral-atom scattering factors, no anomalous dispersion.

Structure:
Unit cell a=7.9326 b=7.9326 c=19.6244 alpha=90.00 beta=90.00 gamma=120.00
Space group R-3m (No. 166, hexagonal axes)
Unique sites:
Tb 0.0000 0.5000 0.0000
Y 0.0000 0.0000 0.5000
Sc 0.0000 0.5000 0.5000
Se 0.0000 0.0000 0.2445
Se 0.0162 0.5081 0.7515

Largest 10 diffraction maxima, in order of falling intensity, 10 to 80 degrees two-theta:
- hkl 0 2 4, 31.80°, I 100
- hkl 2 0 8, 45.43°, I 36
- hkl 2 2 0, 45.75°, I 35
- hkl 4 0 4, 56.79°, I 18
- hkl 2 2 12, 75.33°, I 15
- hkl 2 4 4, 75.79°, I 15
- hkl 0 2 1, 26.30°, I 14
- hkl 1 0 1, 13.66°, I 12
- hkl 0 4 8, 66.45°, I 11
- hkl 0 0 12, 56.25°, I 6



Entry 2:
Computed powder XRD pattern
Compound: Tb8GaGe3Te4
Radiation: a wavelength of 1.5418 Å
Structure: the PBE geometry in Alexandria
Neutral-atom scattering factors, no anomalous dispersion.

Structure:
Unit cell a=8.4834 b=8.4834 c=21.5102 alpha=90.00 beta=90.00 gamma=120.00
Space group R-3m (No. 166, hexagonal axes)
Unique sites:
Tb 0.0000 0.0000 0.2397
Tb 0.0030 0.5015 0.7580
Ga 0.0000 0.0000 0.5000
Ge 0.0000 0.5000 0.5000
Te 0.0000 0.0000 0.0000
Te 0.0000 0.5000 0.0000

Largest 10 diffraction maxima, in order of falling intensity, 10 to 80 degrees two-theta:
- hkl 0 2 4, 29.45°, I 100
- hkl 2 2 0, 42.63°, I 38
- hkl 2 0 8, 41.63°, I 36
- hkl 4 0 4, 52.66°, I 20
- hkl 2 4 4, 69.98°, I 17
- hkl 2 2 12, 68.54°, I 14
- hkl 4 2 8, 77.35°, I 11
- hkl 0 4 8, 61.10°, I 11
- hkl 2 0 2, 25.63°, I 7
- hkl 6 0 0, 78.04°, I 6



Entry 3:
Computed powder XRD pattern
Compound: Nd4Ni13C4
Radiation: a wavelength of 1.5418 Å
Structure: the PBE geometry in Alexandria
Neutral-atom scattering factors, no anomalous dispersion.

Structure:
Unit cell a=11.897 b=12.094 c=3.938 alpha=90.00 beta=90.00 gamma=90.00
Space group Cmmm (No. 65)
Unique sites:
Nd 0.000 0.191 0.000
Nd 0.154 0.500 0.000
Ni 0.000 0.000 0.500
Ni 0.109 0.325 0.500
Ni 0.121 0.000 0.000
Ni 0.181 0.109 0.500
Ni 0.250 0.250 0.000
C 0.000 0.444 0.500
C 0.250 0.250 0.500

Largest 10 diffraction maxima, in order of falling intensity, 10 to 80 degrees two-theta:
- hkl 4 2 1, 40.84°, I 100
- hkl 1 3 1, 32.67°, I 67
- hkl 0 4 1, 37.50°, I 53
- hkl 0 0 2, 46.10°, I 48
- hkl 3 5 0, 43.84°, I 39
- hkl 3 1 1, 32.90°, I 36
- hkl 4 2 0, 33.58°, I 27
- hkl 5 3 0, 44.20°, I 24
- hkl 3 5 2, 65.50°, I 23
- hkl 2 4 1, 40.56°, I 20



Entry 4:
Computed powder XRD pattern
Compound: Ba8GaP2
Radiation: a wavelength of 1.5418 Å
Structure: the PBE geometry in Alexandria
Neutral-atom scattering factors, no anomalous dispersion.

Structure:
Unit cell a=10.4318 b=10.4318 c=6.6230 alpha=90.00 beta=90.00 gamma=120.00
Space group P-3 (No. 147)
Unique sites:
Ba 0.1647 0.3309 0.2515
Ba 0.3333 0.6667 0.7784
Ga 0.0000 0.0000 0.5000
P 0.3333 0.6667 0.2958

Largest 10 diffraction maxima, in order of falling intensity, 10 to 80 degrees two-theta:
- hkl 2 0 1, 23.84°, I 100
- hkl 2 2 0, 34.39°, I 37
- hkl 2 2 2, 44.21°, I 26
- hkl 2 0 0, 19.65°, I 25
- hkl 0 2 2, 33.56°, I 22
- hkl 0 4 1, 42.28°, I 22
- hkl 4 2 1, 55.59°, I 20
- hkl 0 0 2, 26.92°, I 17
- hkl 0 2 3, 45.74°, I 17
- hkl 2 4 3, 69.61°, I 10



Entry 5:
Computed powder XRD pattern
Compound: Sm2YEr12
Radiation: a wavelength of 1.5418 Å
Structure: the PBE geometry in Alexandria
Neutral-atom scattering factors, no anomalous dispersion.

Structure:
Unit cell a=7.120 b=11.132 c=23.950 alpha=90.00 beta=94.27 gamma=90.00
Space group C2/m (No. 12)
Unique sites:
Sm 0.068 0.000 0.280
Sm 0.070 0.500 0.281
Y 0.250 0.000 0.000
Er 0.017 0.251 0.066
Er 0.034 0.000 0.134
Er 0.034 0.500 0.135
Er 0.111 0.252 0.445
Er 0.142 0.000 0.574
Er 0.145 0.500 0.572
Er 0.168 0.250 0.670
Er 0.202 0.250 0.808

Largest 10 diffraction maxima, in order of falling intensity, 10 to 80 degrees two-theta:
- hkl 2 2 2, 31.26°, I 100
- hkl 0 4 0, 32.16°, I 83
- hkl 0 2 7, 30.74°, I 65
- hkl 2 0 -6, 32.55°, I 55
- hkl 2 2 -5, 34.35°, I 50
- hkl 0 2 8, 34.08°, I 42
- hkl 0 0 8, 29.90°, I 31
- hkl 2 4 -6, 46.39°, I 30
- hkl 4 4 -1, 61.87°, I 28
- hkl 2 2 -6, 36.41°, I 25